[1]
Calculated powder XRD pattern of PmTi2FeN4 for Cu Kα X-rays, from a crystal structure in Alexandria, relaxed with GGA-PBE.

Top 12 peaks for 10 to 80 degrees two-theta, in order of rising 2θ:
16.8°, I 64; 30.4°, I 45; 33.5°, I 41; 34.0°, I 50; 34.3°, I 100; 39.2°, I 66; 42.0°, I 66; 45.8°, I 22; 48.5°, I 26; 52.1°, I 20; 54.7°, I 25; 58.8°, I 42

Atomic structure:
Cell: 3.141 10.701 10.534 Å, 90.00 90.00 90.00°
Space group Cmcm (No. 63)
Unique sites:
Pm  0.000  0.103  0.250 [4 per cell]
Ti  0.000  0.368  0.045 [8 per cell]
Fe  0.000  0.160  0.750 [4 per cell]
N  0.000  0.000  0.000 [4 per cell]
N  0.000  0.267  0.611 [8 per cell]
N  0.000  0.431  0.250 [4 per cell]

***

[2]
Calculated powder XRD pattern of PrFe2SiN for Cu Kα X-rays, from a crystal structure in Alexandria, relaxed with GGA-PBE.

Top 12 peaks for 10 to 80 degrees two-theta, in order of rising 2θ:
24.8°, I 9; 28.1°, I 10; 31.2°, I 16; 34.5°, I 29; 36.3°, I 100; 37.0°, I 37; 43.4°, I 16; 47.6°, I 18; 53.6°, I 11; 61.3°, I 13; 64.9°, I 15; 66.2°, I 9

Atomic structure:
Cell: 3.819 10.636 6.807 Å, 90.00 90.00 90.00°
Space group Cmcm (No. 63)
Unique sites:
Pr  0.000  0.053  0.250 [4 per cell]
Fe  0.000  0.337  0.059 [8 per cell]
Si  0.000  0.226  0.750 [4 per cell]
N  0.000  0.500  0.000 [4 per cell]

***

[3]
Calculated powder XRD pattern of SrPu2FeN4 for Cu Kα X-rays, from a crystal structure in Alexandria, relaxed with GGA-PBE.

Top 12 peaks for 10 to 80 degrees two-theta, in order of rising 2θ:
15.3°, I 64; 17.1°, I 32; 27.7°, I 100; 30.8°, I 76; 31.1°, I 97; 34.8°, I 35; 35.7°, I 75; 38.2°, I 74; 42.0°, I 40; 47.9°, I 37; 53.0°, I 41; 53.1°, I 67

Atomic structure:
Cell: 3.457 11.597 11.591 Å, 90.00 90.00 90.00°
Space group Cmcm (No. 63)
Unique sites:
Sr  0.000  0.090  0.250 [4 per cell]
Pu  0.000  0.368  0.052 [8 per cell]
Fe  0.000  0.178  0.750 [4 per cell]
N  0.000  0.000  0.000 [4 per cell]
N  0.000  0.253  0.608 [8 per cell]
N  0.000  0.404  0.250 [4 per cell]

***

[4]
Calculated powder XRD pattern of FeSnRu2N for Cu Kα X-rays, from a crystal structure in Alexandria, relaxed with GGA-PBE.

Top 12 peaks for 10 to 80 degrees two-theta, in order of rising 2θ:
21.6°, I 3; 23.5°, I 1; 32.1°, I 7; 39.0°, I 100; 44.0°, I 40; 48.0°, I 16; 49.5°, I 1; 55.5°, I 3; 64.0°, I 13; 67.2°, I 22; 71.5°, I 1; 77.6°, I 27

Atomic structure:
Cell: 4.114 4.114 3.791 Å, 90.00 90.00 90.00°
Space group P4/mmm (No. 123)
Unique sites:
Fe  0.000  0.000  0.000 [1 per cell]
Sn  0.500  0.500  0.000 [1 per cell]
Ru  0.000  0.500  0.500 [2 per cell]
N  0.000  0.000  0.500 [1 per cell]

***

[5]
Calculated powder XRD pattern of SrFe2RuN for Cu Kα X-rays, from a crystal structure in Alexandria, relaxed with GGA-PBE.

Top 12 peaks for 10 to 80 degrees two-theta, in order of rising 2θ:
23.2°, I 21; 25.6°, I 17; 29.5°, I 100; 34.8°, I 28; 36.5°, I 94; 43.7°, I 15; 47.5°, I 21; 47.6°, I 54; 52.5°, I 31; 61.3°, I 38; 73.5°, I 22; 73.6°, I 15

Atomic structure:
Cell: 4.927 4.927 3.830 Å, 90.00 90.00 90.00°
Space group P4/mmm (No. 123)
Unique sites:
Sr  0.000  0.000  0.000 [1 per cell]
Fe  0.000  0.500  0.500 [2 per cell]
Ru  0.500  0.500  0.500 [1 per cell]
N  0.500  0.500  0.000 [1 per cell]

***

[6]
Calculated powder XRD pattern of FeSbSe2N for Cu Kα X-rays, from a crystal structure in Alexandria, relaxed with GGA-PBE.

Top 12 peaks for 10 to 80 degrees two-theta, in order of rising 2θ:
17.7°, I 9; 31.3°, I 64; 35.8°, I 100; 36.2°, I 86; 48.3°, I 38; 51.6°, I 34; 52.7°, I 16; 64.7°, I 31; 65.4°, I 32; 73.4°, I 11; 76.0°, I 10; 76.9°, I 20

Atomic structure:
Cell: 5.010 5.010 3.475 Å, 90.00 90.00 90.00°
Space group P4/mmm (No. 123)
Unique sites:
Fe  0.000  0.000  0.000 [1 per cell]
Sb  0.500  0.500  0.500 [1 per cell]
Se  0.000  0.500  0.000 [2 per cell]
N  0.000  0.000  0.500 [1 per cell]